No. 1
YErSiNi: computed powder XRD pattern (λ = 1.5418 Å (Cu Kα)), based on a PBE-relaxed structure.
Lines closer than 0.1° are merged.

Structure:
```
YErSiNi
1.0
4.026 0.000 0.000
0.000 3.970 0.000
0.000 0.000 10.545
Y Er Si Ni
2 2 2 2
Direct
0.000 0.000 0.000
0.000 0.500 0.500
0.500 0.000 0.282
0.500 0.500 0.782
0.500 0.000 0.575
0.500 0.500 0.075
0.000 0.000 0.710
0.000 0.500 0.210
```

Top 12 peaks for 2θ = 10–90°, in order of falling intensity:
d (Å)  two_theta  I_rel
2.730  32.8  100.0
2.633  34.0  68.4
2.204  41.0  58.2
3.200  27.9  40.7
1.599  57.6  29.7
2.013  45.0  20.0
5.272  16.8  19.9
1.985  45.7  19.1
1.687  54.4  13.0
3.715  24.0  12.9
1.154  83.8  12.7
1.413  66.1  12.4

No. 2
SmErNi: computed powder XRD pattern (λ = 1.5418 Å (Cu Kα)), based on a PBE-relaxed structure.
Lines closer than 0.1° are merged.

Structure:
```
SmErNi
1.0
6.746 0.000 0.000
0.000 3.886 0.000
-2.223 0.000 12.225
Sm Er Ni
4 4 4
Direct
0.000 0.000 0.000
0.093 0.500 0.776
0.500 0.500 0.000
0.593 0.000 0.776
0.248 0.500 0.242
0.345 0.500 0.535
0.748 0.000 0.242
0.845 0.000 0.535
0.129 0.000 0.387
0.463 0.000 0.390
0.629 0.500 0.387
0.963 0.500 0.390
```

Top 12 peaks for 2θ = 10–90°, in order of falling intensity:
d (Å)  two_theta  I_rel
2.834  31.6  100.0
2.715  33.0  93.8
1.945  46.7  74.6
3.355  26.6  66.6
2.163  41.8  37.3
2.370  38.0  33.3
3.056  29.2  29.6
3.062  29.2  27.8
1.640  56.1  19.7
1.581  58.4  18.2
1.643  56.0  14.6
3.163  28.2  14.3

No. 3
Sm2Er3Ni2: computed powder XRD pattern (λ = 1.5418 Å (Cu Kα)), based on a PBE-relaxed structure.
Lines closer than 0.1° are merged.

Structure:
```
Sm2Er3Ni2
1.0
12.224 0.000 0.000
0.000 3.590 0.000
-4.078 0.000 8.018
Sm Er Ni
4 6 4
Direct
0.165 0.000 0.309
0.335 0.500 0.691
0.665 0.500 0.309
0.835 0.000 0.691
0.000 0.500 0.500
0.117 0.500 0.933
0.383 0.000 0.067
0.500 0.000 0.500
0.617 0.000 0.933
0.883 0.500 0.067
0.169 0.000 0.740
0.331 0.500 0.260
0.669 0.500 0.740
0.831 0.000 0.260
```

Top 12 peaks for 2θ = 10–90°, in order of falling intensity:
d (Å)  two_theta  I_rel
2.695  33.2  100.0
2.993  29.9  62.3
2.553  35.1  56.1
2.801  32.0  43.1
3.031  29.5  31.6
2.432  37.0  30.4
1.795  50.9  20.1
1.567  58.9  19.8
2.265  39.8  19.3
2.580  34.8  16.4
1.494  62.1  16.1
1.608  57.3  16.1

No. 4
Er2NiSn6: computed powder XRD pattern (λ = 1.5418 Å (Cu Kα)), based on a PBE-relaxed structure.
Lines closer than 0.1° are merged.

Structure:
```
Er2NiSn6
1.0
2.180 -11.314 0.000
2.180 11.314 0.000
0.000 0.000 4.422
Er Ni Sn
2 1 6
Direct
0.179 0.821 0.000
0.821 0.179 0.000
0.500 0.500 0.500
0.071 0.929 0.500
0.295 0.705 0.500
0.430 0.570 0.000
0.570 0.430 0.000
0.705 0.295 0.500
0.929 0.071 0.500
```

Top 12 peaks for 2θ = 10–90°, in order of falling intensity:
d (Å)  two_theta  I_rel
2.560  35.1  100.0
2.871  31.2  61.0
2.179  41.4  35.8
2.829  31.6  31.1
2.211  40.8  28.5
1.552  59.6  24.9
1.518  61.0  15.7
1.742  52.5  15.4
1.727  53.0  15.0
1.361  69.0  14.1
1.334  70.6  13.5
1.320  71.4  13.1

No. 5
Er4NiSn: computed powder XRD pattern (λ = 1.5418 Å (Cu Kα)), based on a PBE-relaxed structure.
Lines closer than 0.1° are merged.

Structure:
```
Er4NiSn
1.0
5.484 0.000 0.000
0.000 6.818 0.000
-1.750 0.000 8.208
Er Ni Sn
8 2 2
Direct
0.130 0.250 0.056
0.215 0.750 0.362
0.336 0.508 0.773
0.336 0.992 0.773
0.664 0.008 0.227
0.664 0.492 0.227
0.785 0.250 0.638
0.870 0.750 0.944
0.352 0.750 0.049
0.648 0.250 0.951
0.222 0.250 0.429
0.778 0.750 0.571
```

Top 12 peaks for 2θ = 10–90°, in order of falling intensity:
d (Å)  two_theta  I_rel
2.623  34.2  100.0
2.815  31.8  75.1
2.673  33.5  55.7
2.723  32.9  49.4
2.974  30.1  27.7
2.877  31.1  22.8
1.438  64.9  22.7
2.682  33.4  20.9
1.704  53.8  19.3
1.551  59.6  15.4
2.134  42.4  15.0
2.254  40.0  14.4

No. 6
Er4Ni2Sn: computed powder XRD pattern (λ = 1.5418 Å (Cu Kα)), based on a PBE-relaxed structure.
Lines closer than 0.1° are merged.

Structure:
```
Er4Ni2Sn
1.0
4.185 -7.427 0.000
4.185 7.427 0.000
-4.128 0.000 5.248
Er Ni Sn
8 4 2
Direct
0.007 0.993 0.500
0.126 0.695 0.842
0.405 0.565 0.162
0.547 0.969 0.718
0.565 0.405 0.662
0.695 0.126 0.342
0.969 0.547 0.218
0.993 0.007 0.000
0.280 0.954 0.320
0.615 0.777 0.984
0.777 0.615 0.484
0.954 0.280 0.820
0.215 0.445 0.530
0.445 0.215 0.030
```

Top 12 peaks for 2θ = 10–90°, in order of falling intensity:
d (Å)  two_theta  I_rel
2.709  33.1  100.0
2.448  36.7  46.9
2.646  33.9  34.5
2.660  33.7  32.8
2.697  33.2  28.5
2.474  36.3  28.2
3.007  29.7  25.2
3.143  28.4  24.1
3.031  29.5  21.1
2.139  42.2  20.8
2.981  30.0  17.6
2.020  44.9  16.0

No. 7
ErNi9Sn2: computed powder XRD pattern (λ = 1.5418 Å (Cu Kα)), based on a PBE-relaxed structure.
Lines closer than 0.1° are merged.

Structure:
```
ErNi9Sn2
1.0
8.202 0.000 0.000
0.000 8.202 0.000
0.000 0.000 4.863
Er Ni Sn
2 18 4
Direct
0.000 0.000 0.000
0.500 0.500 0.000
0.000 0.500 0.500
0.065 0.205 0.500
0.174 0.674 0.246
0.174 0.674 0.754
0.205 0.935 0.500
0.295 0.435 0.500
0.326 0.174 0.246
0.326 0.174 0.754
0.435 0.705 0.500
0.500 0.000 0.500
0.565 0.295 0.500
0.674 0.826 0.246
0.674 0.826 0.754
0.705 0.565 0.500
0.795 0.065 0.500
0.826 0.326 0.246
0.826 0.326 0.754
0.935 0.795 0.500
0.128 0.372 0.000
0.372 0.872 0.000
0.628 0.128 0.000
0.872 0.628 0.000
```

Top 12 peaks for 2θ = 10–90°, in order of falling intensity:
d (Å)  two_theta  I_rel
2.289  39.4  100.0
2.027  44.7  65.8
2.061  43.9  32.2
2.594  34.6  26.4
2.092  43.3  24.3
1.989  45.6  23.5
2.491  36.1  21.2
1.375  68.2  18.3
2.432  37.0  17.5
1.834  49.7  14.6
1.342  70.1  14.2
1.291  73.3  12.5

No. 8
Er12NiSn6: computed powder XRD pattern (λ = 1.5418 Å (Cu Kα)), based on a PBE-relaxed structure.
Lines closer than 0.1° are merged.

Structure:
```
Er12NiSn6
1.0
6.499 3.752 4.025
-6.499 3.752 4.025
0.000 -7.505 4.025
Er Ni Sn
12 1 6
Direct
0.013 0.691 0.945
0.055 0.987 0.309
0.198 0.423 0.555
0.309 0.055 0.987
0.423 0.555 0.198
0.445 0.802 0.577
0.555 0.198 0.423
0.577 0.445 0.802
0.691 0.945 0.013
0.802 0.577 0.445
0.945 0.013 0.691
0.987 0.309 0.055
0.000 0.000 0.000
0.121 0.641 0.312
0.312 0.121 0.641
0.359 0.688 0.879
0.641 0.312 0.121
0.688 0.879 0.359
0.879 0.359 0.688
```

Top 12 peaks for 2θ = 10–90°, in order of falling intensity:
d (Å)  two_theta  I_rel
2.460  36.5  100.0
2.773  32.3  77.2
2.915  30.7  46.0
4.015  22.1  39.1
2.374  37.9  38.8
3.478  25.6  36.2
3.250  27.4  21.6
2.551  35.2  19.3
1.711  53.6  18.3
1.803  50.6  16.4
3.023  29.6  15.8
1.343  70.1  15.5

No. 9
Er2Zn2Ni5Sn: computed powder XRD pattern (λ = 1.5418 Å (Cu Kα)), based on a PBE-relaxed structure.
Lines closer than 0.1° are merged.

Structure:
```
Er2Zn2Ni5Sn
1.0
9.274 0.000 0.000
0.000 9.274 0.000
0.000 0.000 3.630
Er Zn Ni Sn
4 4 10 2
Direct
0.179 0.321 0.000
0.321 0.821 0.000
0.679 0.179 0.000
0.821 0.679 0.000
0.116 0.616 0.000
0.384 0.116 0.000
0.616 0.884 0.000
0.884 0.384 0.000
0.000 0.500 0.500
0.064 0.787 0.500
0.213 0.064 0.500
0.287 0.564 0.500
0.436 0.287 0.500
0.500 0.000 0.500
0.564 0.713 0.500
0.713 0.436 0.500
0.787 0.936 0.500
0.936 0.213 0.500
0.000 0.000 0.000
0.500 0.500 0.000
```

Top 12 peaks for 2θ = 10–90°, in order of falling intensity:
d (Å)  two_theta  I_rel
2.281  39.5  100.0
2.249  40.1  53.9
2.433  36.9  36.2
2.099  43.1  34.5
2.732  32.8  33.7
1.815  50.3  25.3
1.412  66.2  23.7
2.933  30.5  17.2
3.630  24.5  14.7
2.186  41.3  14.1
2.074  43.6  13.4
1.345  69.9  10.9

No. 10
SrErNi: computed powder XRD pattern (λ = 1.5418 Å (Cu Kα)), based on a PBE-relaxed structure.
Lines closer than 0.1° are merged.

Structure:
```
SrErNi
1.0
10.726 -1.962 0.000
10.726 1.962 0.000
-1.889 0.000 9.343
Sr Er Ni
4 4 4
Direct
0.027 0.027 0.199
0.398 0.398 0.403
0.602 0.602 0.597
0.973 0.973 0.801
0.179 0.179 0.971
0.203 0.203 0.375
0.797 0.797 0.625
0.821 0.821 0.029
0.214 0.214 0.671
0.280 0.280 0.183
0.720 0.720 0.817
0.786 0.786 0.329
```

Top 12 peaks for 2θ = 10–90°, in order of falling intensity:
d (Å)  two_theta  I_rel
2.869  31.2  100.0
3.192  28.0  66.1
3.612  24.6  53.6
3.162  28.2  37.7
2.424  37.1  37.6
3.519  25.3  34.6
1.962  46.3  34.0
2.200  41.0  32.5
2.056  44.0  32.5
1.672  54.9  30.8
2.643  33.9  28.5
2.269  39.7  27.4

No. 11
SrErNi10: computed powder XRD pattern (λ = 1.5418 Å (Cu Kα)), based on a PBE-relaxed structure.
Lines closer than 0.1° are merged.

Structure:
```
SrErNi10
1.0
3.949 0.000 0.000
0.000 4.957 0.000
0.000 0.000 8.587
Sr Er Ni
1 1 10
Direct
0.000 0.000 0.000
0.000 0.500 0.500
0.000 0.000 0.342
0.000 0.000 0.658
0.000 0.500 0.178
0.000 0.500 0.822
0.500 0.000 0.500
0.500 0.255 0.259
0.500 0.255 0.741
0.500 0.500 0.000
0.500 0.745 0.259
0.500 0.745 0.741
```

Top 12 peaks for 2θ = 10–90°, in order of falling intensity:
d (Å)  two_theta  I_rel
2.099  43.1  100.0
2.907  30.8  39.4
2.147  42.1  34.1
2.479  36.2  28.7
1.975  46.0  27.2
1.345  69.9  21.2
1.453  64.1  18.7
1.239  76.9  15.5
8.587  10.3  13.9
1.163  83.1  13.7
1.544  59.9  13.1
1.886  48.3  11.3

No. 12
TbEr2Ni9: computed powder XRD pattern (λ = 1.5418 Å (Cu Kα)), based on a PBE-relaxed structure.
Lines closer than 0.1° are merged.

Structure:
```
TbEr2Ni9
1.0
2.478 1.430 8.074
-2.478 1.430 8.074
0.000 -2.861 8.074
Tb Er Ni
1 2 9
Direct
0.000 0.000 0.000
0.139 0.139 0.139
0.861 0.861 0.861
0.081 0.583 0.583
0.333 0.333 0.333
0.417 0.417 0.919
0.417 0.919 0.417
0.500 0.500 0.500
0.583 0.081 0.583
0.583 0.583 0.081
0.667 0.667 0.667
0.919 0.417 0.417
```

Top 12 peaks for 2θ = 10–90°, in order of falling intensity:
d (Å)  two_theta  I_rel
2.112  42.8  100.0
2.476  36.3  88.0
2.694  33.3  48.5
2.137  42.3  36.0
1.348  69.8  31.9
1.960  46.3  27.4
1.430  65.2  22.1
2.020  44.9  20.7
1.239  77.0  19.8
1.469  63.3  14.7
1.353  69.5  12.1
4.225  21.0  9.8